[1]
Computed powder diffraction line list
Compound: Th3CoCu3
Radiation: copper Kα
Structure: a crystal structure in Alexandria, relaxed with PBE
Neutral-atom scattering factors, no anomalous dispersion.

Principal peaks in the range 2θ = 10–90°, by angle:
- 2θ = 25.2°, intensity 58
- 2θ = 28.6°, intensity 26
- 2θ = 33.3°, intensity 100
- 2θ = 34.0°, intensity 61
- 2θ = 37.4°, intensity 27
- 2θ = 39.7°, intensity 26
- 2θ = 42.2°, intensity 29
- 2θ = 49.1°, intensity 19
- 2θ = 55.3°, intensity 31
- 2θ = 71.5°, intensity 21

Cell and atoms:
Lattice parameters (Å, degrees): 9.786 9.786 9.786 158.13 154.72 33.67
Sites, in units of the cell vectors:
Th1 0.000 0.000 0.000
Th2 0.367 0.367 0.000
Th3 0.696 0.196 0.500
Co1 0.257 0.757 0.500
Cu1 0.126 0.626 0.500
Cu2 0.552 0.552 0.000
Cu3 0.827 0.827 0.000


[2]
Computed powder diffraction line list
Compound: NbOsRu4
Radiation: copper Kα
Structure: a crystal structure in Alexandria, relaxed with PBE
Neutral-atom scattering factors, no anomalous dispersion.

Principal peaks in the range 2θ = 10–90°, by angle:
- 2θ = 39.9°, intensity 55
- 2θ = 40.3°, intensity 55
- 2θ = 41.3°, intensity 100
- 2θ = 42.2°, intensity 51
- 2θ = 42.5°, intensity 49
- 2θ = 56.4°, intensity 15
- 2θ = 61.1°, intensity 16
- 2θ = 61.8°, intensity 16
- 2θ = 76.6°, intensity 16
- 2θ = 83.7°, intensity 13

Cell and atoms:
Lattice parameters (Å, degrees): 6.532 6.532 5.107 110.01 110.01 102.23
Sites, in units of the cell vectors:
Nb1 0.185 0.815 0.750
Nb2 0.815 0.185 0.250
Os1 0.083 0.917 0.250
Os2 0.917 0.083 0.750
Ru1 0.148 0.515 0.244
Ru2 0.265 0.406 0.764
Ru3 0.406 0.265 0.264
Ru4 0.485 0.852 0.256
Ru5 0.515 0.148 0.744
Ru6 0.594 0.735 0.736
Ru7 0.735 0.594 0.236
Ru8 0.852 0.485 0.756


[3]
Computed powder diffraction line list
Compound: BC5
Radiation: copper Kα
Structure: a crystal structure in Alexandria, relaxed with PBE
Neutral-atom scattering factors, no anomalous dispersion.

Principal peaks in the range 2θ = 10–90°, by angle:
- 2θ = 11.5°, intensity 4
- 2θ = 23.8°, intensity 5
- 2θ = 42.8°, intensity 98
- 2θ = 43.3°, intensity 100
- 2θ = 73.1°, intensity 52
- 2θ = 74.1°, intensity 13
- 2θ = 75.5°, intensity 12
- 2θ = 87.0°, intensity 9
- 2θ = 87.3°, intensity 7
- 2θ = 89.9°, intensity 16

Cell and atoms:
Lattice parameters (Å, degrees): 2.518 7.678 3.738 90.00 90.00 90.00
Sites, in units of the cell vectors:
B1 0.000 0.168 0.000
B2 0.000 0.832 0.000
C1 0.000 0.000 0.749
C2 0.000 0.340 0.751
C3 0.000 0.500 0.008
C4 0.000 0.660 0.751
C5 0.500 0.000 0.514
C6 0.500 0.169 0.287
C7 0.500 0.336 0.510
C8 0.500 0.500 0.249
C9 0.500 0.664 0.510
C10 0.500 0.831 0.287


[4]
Computed powder diffraction line list
Compound: CsAgRu2O8
Radiation: copper Kα
Structure: a crystal structure in Alexandria, relaxed with PBE
Neutral-atom scattering factors, no anomalous dispersion.

Principal peaks in the range 2θ = 10–90°, by angle:
- 2θ = 22.9°, intensity 100
- 2θ = 32.1°, intensity 38
- 2θ = 33.2°, intensity 27
- 2θ = 39.8°, intensity 20
- 2θ = 46.9°, intensity 11
- 2θ = 52.0°, intensity 19
- 2θ = 53.6°, intensity 16
- 2θ = 57.2°, intensity 11
- 2θ = 57.9°, intensity 11
- 2θ = 71.9°, intensity 8

Cell and atoms:
Lattice parameters (Å, degrees): 9.243 9.243 9.243 35.14 35.14 35.14
Sites, in units of the cell vectors:
Cs1 0.000 0.000 0.000
Ag1 0.500 0.500 0.500
Ru1 0.240 0.240 0.240
Ru2 0.760 0.760 0.760
O1 0.087 0.488 0.771
O2 0.229 0.913 0.512
O3 0.308 0.308 0.308
O4 0.488 0.771 0.086
O5 0.512 0.229 0.913
O6 0.692 0.692 0.692
O7 0.771 0.087 0.488
O8 0.914 0.512 0.229


[5]
Computed powder diffraction line list
Compound: NaZr2S4
Radiation: copper Kα
Structure: a crystal structure in Alexandria, relaxed with PBE
Neutral-atom scattering factors, no anomalous dispersion.

Principal peaks in the range 2θ = 10–90°, by angle:
- 2θ = 14.0°, intensity 100
- 2θ = 26.9°, intensity 79
- 2θ = 32.6°, intensity 60
- 2θ = 32.7°, intensity 30
- 2θ = 42.8°, intensity 31
- 2θ = 46.8°, intensity 81
- 2θ = 49.1°, intensity 15
- 2θ = 58.3°, intensity 19
- 2θ = 77.8°, intensity 15
- 2θ = 86.9°, intensity 15

Cell and atoms:
Lattice parameters (Å, degrees): 7.755 7.755 7.755 119.89 119.89 90.19
Sites, in units of the cell vectors:
Na1 0.375 0.625 0.750
Na2 0.625 0.375 0.250
Zr1 0.000 0.000 0.000
Zr2 0.000 0.000 0.500
Zr3 0.000 0.500 0.000
Zr4 0.500 0.000 0.500
S1 0.212 0.238 0.974
S2 0.236 0.762 0.474
S3 0.238 0.212 0.474
S4 0.238 0.764 0.026
S5 0.762 0.236 0.974
S6 0.762 0.788 0.526
S7 0.764 0.238 0.526
S8 0.788 0.762 0.026


[6]
Computed powder diffraction line list
Compound: KTa2CrMo
Radiation: copper Kα
Structure: a crystal structure in Alexandria, relaxed with PBE
Neutral-atom scattering factors, no anomalous dispersion.

Principal peaks in the range 2θ = 10–90°, by angle:
- 2θ = 20.4°, intensity 25
- 2θ = 34.4°, intensity 100
- 2θ = 39.2°, intensity 48
- 2θ = 41.4°, intensity 21
- 2θ = 44.5°, intensity 14
- 2θ = 56.6°, intensity 16
- 2θ = 58.3°, intensity 29
- 2θ = 68.0°, intensity 28
- 2θ = 71.0°, intensity 12
- 2θ = 72.5°, intensity 15

Cell and atoms:
Lattice parameters (Å, degrees): 4.598 4.598 4.363 90.00 90.00 90.00
Sites, in units of the cell vectors:
K1 0.000 0.000 0.000
Ta1 0.000 0.500 0.000
Ta2 0.500 0.000 0.000
Cr1 0.500 0.500 0.500
Mo1 0.000 0.000 0.500


[7]
Computed powder diffraction line list
Compound: In3Ga2Bi
Radiation: copper Kα
Structure: a crystal structure in Alexandria, relaxed with PBE
Neutral-atom scattering factors, no anomalous dispersion.

Principal peaks in the range 2θ = 10–90°, by angle:
- 2θ = 18.0°, intensity 8
- 2θ = 22.1°, intensity 11
- 2θ = 25.6°, intensity 42
- 2θ = 36.5°, intensity 100
- 2θ = 45.1°, intensity 12
- 2θ = 52.6°, intensity 17
- 2θ = 59.3°, intensity 16
- 2θ = 65.7°, intensity 35
- 2θ = 77.5°, intensity 11
- 2θ = 88.8°, intensity 16

Cell and atoms:
Lattice parameters (Å, degrees): 6.966 6.966 6.966 90.00 90.00 90.00
Sites, in units of the cell vectors:
In1 0.250 0.250 0.750
In2 0.250 0.750 0.250
In3 0.250 0.750 0.750
In4 0.750 0.250 0.250
In5 0.750 0.250 0.750
In6 0.750 0.750 0.250
Ga1 0.000 0.000 0.000
Ga2 0.000 0.500 0.500
Ga3 0.500 0.000 0.500
Ga4 0.500 0.500 0.000
Bi1 0.250 0.250 0.250
Bi2 0.750 0.750 0.750


[8]
Computed powder diffraction line list
Compound: Na2Te3As
Radiation: copper Kα
Structure: a crystal structure in Alexandria, relaxed with PBE
Neutral-atom scattering factors, no anomalous dispersion.

Principal peaks in the range 2θ = 10–90°, by angle:
- 2θ = 17.8°, intensity 100
- 2θ = 20.5°, intensity 68
- 2θ = 26.5°, intensity 77
- 2θ = 27.7°, intensity 28
- 2θ = 28.0°, intensity 58
- 2θ = 29.2°, intensity 35
- 2θ = 39.2°, intensity 35
- 2θ = 43.7°, intensity 27
- 2θ = 45.0°, intensity 32
- 2θ = 46.0°, intensity 43

Cell and atoms:
Lattice parameters (Å, degrees): 7.225 7.225 19.706 90.00 90.00 127.11
Sites, in units of the cell vectors:
Na1 0.049 0.951 0.812
Na2 0.138 0.862 0.477
Na3 0.362 0.638 0.977
Na4 0.451 0.549 0.312
Na5 0.549 0.451 0.688
Na6 0.638 0.362 0.023
Na7 0.862 0.138 0.523
Na8 0.951 0.049 0.188
Te1 0.059 0.941 0.638
Te2 0.064 0.436 0.750
Te3 0.124 0.876 0.027
Te4 0.376 0.624 0.527
Te5 0.436 0.064 0.250
Te6 0.441 0.559 0.138
Te7 0.559 0.441 0.862
Te8 0.564 0.936 0.750
Te9 0.624 0.376 0.473
Te10 0.876 0.124 0.973
Te11 0.936 0.564 0.250
Te12 0.941 0.059 0.362
As1 0.238 0.762 0.138
As2 0.262 0.738 0.638
As3 0.738 0.262 0.362
As4 0.762 0.238 0.862